1.
# Dy4CoB13
Theoretical X-ray diffraction stick pattern, Cu Kα (weighted mean of Kα1 and Kα2). Input: a DFT-relaxed cell (PBE, the Materials Project).
Kinematic intensities with the Lorentz-polarization factor, no thermal factor.

Principal peaks in the range 10 to 90 degrees two-theta, in order of rising 2θ:
2θ 24.4, intensity 41
2θ 25.8, intensity 59
2θ 27.3, intensity 96
2θ 35.8, intensity 41
2θ 37.9, intensity 100
2θ 47.4, intensity 28
2θ 51.6, intensity 38
2θ 53.2, intensity 28
2θ 58.6, intensity 41
2θ 77.2, intensity 23

Crystal structure
Cell: 7.3073 7.3073 6.8949 Å, 90.00 90.00 90.00°
Fractional coordinates of all 36 atoms:
Dy  0.1816  0.3147  0.0000
Dy  0.1853  0.3184  0.5000
Dy  0.3147  0.8184  0.0000
Dy  0.3184  0.8147  0.5000
Dy  0.6816  0.1853  0.5000
Dy  0.6853  0.1816  0.0000
Dy  0.8147  0.6816  0.5000
Dy  0.8184  0.6853  0.0000
Co  0.0000  0.0000  0.5000
Co  0.5000  0.5000  0.0000
B  0.0000  0.0000  0.0000
B  0.0392  0.8298  0.2469
B  0.0392  0.8298  0.7531
B  0.0913  0.5913  0.2500
B  0.0913  0.5913  0.7500
B  0.1702  0.0392  0.2469
B  0.1702  0.0392  0.7531
B  0.3298  0.5392  0.2531
B  0.3298  0.5392  0.7469
B  0.4087  0.0913  0.2500
B  0.4087  0.0913  0.7500
B  0.4608  0.3298  0.2531
B  0.4608  0.3298  0.7469
B  0.5000  0.5000  0.5000
B  0.5392  0.6702  0.2531
B  0.5392  0.6702  0.7469
B  0.5913  0.9087  0.2500
B  0.5913  0.9087  0.7500
B  0.6702  0.4608  0.2531
B  0.6702  0.4608  0.7469
B  0.8298  0.9608  0.2469
B  0.8298  0.9608  0.7531
B  0.9087  0.4087  0.2500
B  0.9087  0.4087  0.7500
B  0.9608  0.1702  0.2469
B  0.9608  0.1702  0.7531


2.
# DyCoB4
Theoretical X-ray diffraction stick pattern, Cu Kα (weighted mean of Kα1 and Kα2). Input: a DFT-relaxed cell (PBE, the Materials Project).
Kinematic intensities with the Lorentz-polarization factor, no thermal factor.

Principal peaks in the range 10 to 90 degrees two-theta, in order of rising 2θ:
2θ 21.6, intensity 22
2θ 26.3, intensity 65
2θ 27.9, intensity 29
2θ 31.3, intensity 86
2θ 34.3, intensity 19
2θ 38.7, intensity 31
2θ 41.3, intensity 100
2θ 44.2, intensity 22
2θ 47.3, intensity 21
2θ 63.8, intensity 22

Crystal structure
Cell: 5.9035 11.4245 3.3903 Å, 90.00 90.00 90.00°
Fractional coordinates of all 24 atoms:
Dy  0.1273  0.1499  0.0000
Dy  0.3727  0.6499  0.0000
Dy  0.6273  0.3501  0.0000
Dy  0.8727  0.8501  0.0000
Co  0.1347  0.4108  0.0000
Co  0.3653  0.9108  0.0000
Co  0.6347  0.0892  0.0000
Co  0.8653  0.5892  0.0000
B  0.0231  0.6908  0.5000
B  0.1112  0.5460  0.5000
B  0.1391  0.9676  0.5000
B  0.2187  0.8153  0.5000
B  0.2813  0.3153  0.5000
B  0.3609  0.4676  0.5000
B  0.3888  0.0460  0.5000
B  0.4769  0.1908  0.5000
B  0.5231  0.8092  0.5000
B  0.6112  0.9540  0.5000
B  0.6391  0.5324  0.5000
B  0.7187  0.6847  0.5000
B  0.7813  0.1847  0.5000
B  0.8609  0.0324  0.5000
B  0.8888  0.4540  0.5000
B  0.9769  0.3092  0.5000


3.
# DyCo12B6
Theoretical X-ray diffraction stick pattern, Cu Kα (weighted mean of Kα1 and Kα2). Input: a DFT-relaxed cell (PBE, the Materials Project).
Kinematic intensities with the Lorentz-polarization factor, no thermal factor.

Principal peaks in the range 10 to 90 degrees two-theta, in order of rising 2θ:
2θ 31.5, intensity 15
2θ 32.7, intensity 41
2θ 33.1, intensity 33
2θ 41.3, intensity 59
2θ 41.9, intensity 100
2θ 47.2, intensity 24
2θ 50.0, intensity 21
2θ 59.1, intensity 22
2θ 62.4, intensity 18
2θ 64.7, intensity 12

Crystal structure
Cell: 5.9516 5.9516 5.9516 Å, 103.99 103.99 103.99°
Fractional coordinates of all 19 atoms:
Dy  0.0000  0.0000  0.0000
Co  0.1325  0.5000  0.8675
Co  0.1325  0.8674  0.5000
Co  0.1862  0.4562  0.4562
Co  0.4562  0.1862  0.4562
Co  0.4562  0.4562  0.1862
Co  0.5000  0.1325  0.8675
Co  0.5000  0.8675  0.1325
Co  0.5438  0.5438  0.8138
Co  0.5438  0.8138  0.5438
Co  0.8138  0.5438  0.5438
Co  0.8675  0.1325  0.5000
Co  0.8675  0.5000  0.1325
B  0.2322  0.2322  0.6762
B  0.2322  0.6762  0.2322
B  0.3238  0.7678  0.7678
B  0.6762  0.2322  0.2322
B  0.7678  0.3238  0.7678
B  0.7678  0.7678  0.3238


4.
# Dy3Co11B4
Theoretical X-ray diffraction stick pattern, Cu Kα (weighted mean of Kα1 and Kα2). Input: a DFT-relaxed cell (PBE, the Materials Project).
Kinematic intensities with the Lorentz-polarization factor, no thermal factor.

Principal peaks in the range 10 to 90 degrees two-theta, in order of rising 2θ:
2θ 20.4, intensity 25
2θ 34.4, intensity 100
2θ 35.7, intensity 29
2θ 41.5, intensity 88
2θ 45.6, intensity 93
2θ 63.4, intensity 34
2θ 68.8, intensity 15
2θ 71.2, intensity 23
2θ 72.6, intensity 15
2θ 75.7, intensity 21

Crystal structure
Cell: 5.0248 5.0248 9.7557 Å, 90.00 90.00 120.00°
Fractional coordinates of all 18 atoms:
Dy  0.0000  0.0000  0.0000
Dy  0.0000  0.0000  0.3416
Dy  0.0000  0.0000  0.6584
Co  0.0000  0.5000  0.2025
Co  0.0000  0.5000  0.5000
Co  0.0000  0.5000  0.7975
Co  0.3333  0.6667  0.0000
Co  0.5000  0.0000  0.2025
Co  0.5000  0.0000  0.5000
Co  0.5000  0.0000  0.7975
Co  0.5000  0.5000  0.2025
Co  0.5000  0.5000  0.5000
Co  0.5000  0.5000  0.7975
Co  0.6667  0.3333  0.0000
B  0.3333  0.6667  0.3497
B  0.3333  0.6667  0.6503
B  0.6667  0.3333  0.3497
B  0.6667  0.3333  0.6503


5.
# DyCo4B
Theoretical X-ray diffraction stick pattern, Cu Kα (weighted mean of Kα1 and Kα2). Input: a DFT-relaxed cell (PBE, the Materials Project).
Kinematic intensities with the Lorentz-polarization factor, no thermal factor.

Principal peaks in the range 10 to 90 degrees two-theta, in order of rising 2θ:
2θ 20.5, intensity 16
2θ 33.4, intensity 87
2θ 36.0, intensity 31
2θ 41.8, intensity 70
2θ 45.0, intensity 100
2θ 63.1, intensity 28
2θ 66.3, intensity 15
2θ 70.3, intensity 16
2θ 71.0, intensity 26
2θ 76.3, intensity 19

Crystal structure
Cell: 4.9940 4.9940 6.8282 Å, 90.00 90.00 120.00°
Fractional coordinates of all 12 atoms:
Dy  0.0000  0.0000  0.0000
Dy  0.0000  0.0000  0.5000
Co  0.0000  0.5000  0.2116
Co  0.0000  0.5000  0.7884
Co  0.3333  0.6667  0.5000
Co  0.5000  0.0000  0.2116
Co  0.5000  0.0000  0.7884
Co  0.5000  0.5000  0.2116
Co  0.5000  0.5000  0.7884
Co  0.6667  0.3333  0.5000
B  0.3333  0.6667  0.0000
B  0.6667  0.3333  0.0000


6.
# DyCo2B2
Theoretical X-ray diffraction stick pattern, Cu Kα (weighted mean of Kα1 and Kα2). Input: a DFT-relaxed cell (PBE, the Materials Project).
Kinematic intensities with the Lorentz-polarization factor, no thermal factor.

Principal peaks in the range 10 to 90 degrees two-theta, in order of rising 2θ:
2θ 26.8, intensity 87
2θ 38.3, intensity 75
2θ 40.8, intensity 100
2θ 51.5, intensity 28
2θ 55.4, intensity 14
2θ 59.0, intensity 21
2θ 66.0, intensity 41
2θ 71.0, intensity 21
2θ 88.3, intensity 14
2θ 89.8, intensity 20

Crystal structure
Cell: 5.3232 5.3232 5.3232 Å, 141.04 141.04 56.27°
Fractional coordinates of all 5 atoms:
Dy  0.0000  0.0000  0.0000
Co  0.2500  0.7500  0.5000
Co  0.7500  0.2500  0.5000
B  0.3488  0.3488  0.0000
B  0.6512  0.6512  0.0000


7.
# Dy4Co3B6
Theoretical X-ray diffraction stick pattern, Cu Kα (weighted mean of Kα1 and Kα2). Input: a DFT-relaxed cell (PBE, the Materials Project).
Kinematic intensities with the Lorentz-polarization factor, no thermal factor.

Principal peaks in the range 10 to 90 degrees two-theta, in order of rising 2θ:
2θ 24.3, intensity 38
2θ 33.8, intensity 100
2θ 34.6, intensity 24
2θ 38.1, intensity 17
2θ 42.0, intensity 70
2θ 60.4, intensity 21
2θ 61.4, intensity 18
2θ 66.1, intensity 15
2θ 71.0, intensity 11
2θ 76.3, intensity 13

Crystal structure
Cell: 7.9517 7.9517 7.9517 Å, 38.99 38.99 38.99°
Fractional coordinates of all 13 atoms:
Dy  0.0883  0.0883  0.0883
Dy  0.2446  0.2446  0.2446
Dy  0.7554  0.7554  0.7554
Dy  0.9117  0.9117  0.9117
Co  0.3864  0.3864  0.3864
Co  0.5000  0.5000  0.5000
Co  0.6136  0.6136  0.6136
B  0.0000  0.3322  0.6678
B  0.0000  0.6678  0.3322
B  0.3322  0.0000  0.6678
B  0.3322  0.6678  0.0000
B  0.6678  0.0000  0.3322
B  0.6678  0.3322  0.0000


8.
# ErCo2B2
Theoretical X-ray diffraction stick pattern, Cu Kα (weighted mean of Kα1 and Kα2). Input: a DFT-relaxed cell (PBE, the Materials Project).
Kinematic intensities with the Lorentz-polarization factor, no thermal factor.

Principal peaks in the range 10 to 90 degrees two-theta, in order of rising 2θ:
2θ 27.0, intensity 89
2θ 38.8, intensity 47
2θ 39.1, intensity 27
2θ 41.0, intensity 100
2θ 51.7, intensity 28
2θ 56.2, intensity 14
2θ 59.2, intensity 21
2θ 66.4, intensity 19
2θ 66.6, intensity 22
2θ 72.1, intensity 20

Crystal structure
Cell: 5.2459 5.2459 5.2459 Å, 140.57 140.57 56.98°
Fractional coordinates of all 5 atoms:
Er  0.0000  0.0000  0.0000
Co  0.2500  0.7500  0.5000
Co  0.7500  0.2500  0.5000
B  0.3533  0.3533  0.0000
B  0.6467  0.6467  0.0000